Entry 1:
# TcNi3Ir12
Calculated powder diffraction line list, Cu Kα X-rays. Input: a crystal structure in Alexandria, relaxed with PBE.

Crystal structure
Unit cell a=3.8247 b=3.8247 c=15.3229 alpha=90.00 beta=90.00 gamma=90.00
Space group P4/mmm (No. 123)
Inequivalent atoms, fractional coordinates:
1 Tc 0.0000 0.0000 0.0000
2 Ni 0.0000 0.0000 0.2549
3 Ni 0.0000 0.0000 0.5000
4 Ir 0.0000 0.5000 0.1254
5 Ir 0.0000 0.5000 0.3760
6 Ir 0.5000 0.5000 0.0000
7 Ir 0.5000 0.5000 0.2508
8 Ir 0.5000 0.5000 0.5000

Main lines, by angle (5° ≤ 2θ ≤ 70°):
two_theta	I/Imax	(hkl)
23.2	10	0 0 4
33.1	8	1 0 4
40.8	100	1 1 4
47.5	49	2 0 0
53.5	5	1 0 8
59.1	4	1 1 8
69.5	31	2 2 0


Entry 2:
# TcNiIr6
Calculated powder diffraction line list, Cu Kα X-rays. Input: a crystal structure in Alexandria, relaxed with PBE.

Crystal structure
Unit cell a=3.8364 b=3.8364 c=7.6916 alpha=90.00 beta=90.00 gamma=90.00
Space group P4/mmm (No. 123)
Inequivalent atoms, fractional coordinates:
1 Tc 0.0000 0.0000 0.0000
2 Ni 0.0000 0.0000 0.5000
3 Ir 0.0000 0.5000 0.2488
4 Ir 0.5000 0.5000 0.0000
5 Ir 0.5000 0.5000 0.5000

Main lines, by angle (5° ≤ 2θ ≤ 70°):
two_theta	I/Imax	(hkl)
23.2	8	1 0 0
33.0	7	1 1 0
40.7	100	1 1 2
47.3	16	0 0 4
47.4	32	2 0 0
53.3	3	2 0 2
58.9	3	2 1 2
69.2	32	2 2 0


Entry 3:
# TcNiIr2
Calculated powder diffraction line list, Cu Kα X-rays. Input: a crystal structure in Alexandria, relaxed with PBE.

Crystal structure
Unit cell a=2.7140 b=2.7140 c=7.4427 alpha=90.00 beta=90.00 gamma=90.00
Space group P4/mmm (No. 123)
Inequivalent atoms, fractional coordinates:
1 Tc 0.0000 0.0000 0.0000
2 Ni 0.0000 0.0000 0.5000
3 Ir 0.5000 0.5000 0.2556

Main lines, by angle (5° ≤ 2θ ≤ 70°):
two_theta	I/Imax	(hkl)
23.9	15	0 0 2
33.0	14	1 0 0
41.2	100	1 0 2
47.4	34	1 1 0
49.0	15	0 0 4
53.7	7	1 1 2
60.3	5	1 0 4
69.2	11	2 0 0


Entry 4:
# TcNiIr3
Calculated powder diffraction line list, Cu Kα X-rays. Input: a crystal structure in Alexandria, relaxed with PBE.

Crystal structure
Unit cell a=4.6897 b=13.4964 c=4.6516 alpha=90.00 beta=109.33 gamma=90.00
Space group C2/c (No. 15)
Inequivalent atoms, fractional coordinates:
1 Tc 0.0000 0.1509 0.2500
2 Ni 0.0000 0.3508 0.2500
3 Ir 0.0000 0.0526 0.7500
4 Ir 0.0000 0.2536 0.7500
5 Ir 0.0000 0.4510 0.7500

Main lines, by angle (5° ≤ 2θ ≤ 70°):
two_theta	I/Imax	(hkl)
24.3	22	1 1 -1
40.8	51	2 0 0
41.0	100	1 5 -1
41.1	50	0 0 2
47.6	65	1 5 1
47.7	33	2 0 -2
69.5	21	3 5 -1
69.6	21	2 0 2


Entry 5:
# TcNi3Ir3
Calculated powder diffraction line list, Cu Kα X-rays. Input: a crystal structure in Alexandria, relaxed with PBE.

Crystal structure
Unit cell a=10.8832 b=10.8832 c=2.6013 alpha=90.00 beta=90.00 gamma=120.00
Space group P6_3/m (No. 176)
Inequivalent atoms, fractional coordinates:
1 Tc 0.3333 0.6667 0.2500
2 Ni 0.1350 0.4111 0.2500
3 Ir 0.0813 0.6194 0.2500

Main lines, by angle (5° ≤ 2θ ≤ 70°):
two_theta	I/Imax	(hkl)
9.4	100	1 0 0
18.8	14	2 0 0
34.3	11	3 1 0
35.8	19	1 0 1
43.1	16	1 2 1
44.0	31	4 1 0
49.4	17	3 1 1
52.4	12	4 0 1


Entry 6:
# Th4Ni3Ir
Calculated powder diffraction line list, Cu Kα X-rays. Input: a crystal structure in Alexandria, relaxed with PBE.

Crystal structure
Unit cell a=3.8106 b=4.2838 c=10.9815 alpha=90.00 beta=90.00 gamma=90.00
Space group Pmm2 (No. 25)
Inequivalent atoms, fractional coordinates:
1 Th 0.0000 0.0000 0.0000
2 Th 0.0000 0.5000 0.2672
3 Th 0.5000 0.0000 0.4929
4 Th 0.5000 0.5000 0.7668
5 Ni 0.0000 0.5000 0.5372
6 Ni 0.5000 0.0000 0.2138
7 Ni 0.5000 0.5000 0.0495
8 Ir 0.0000 0.0000 0.7241

Main lines, by angle (5° ≤ 2θ ≤ 70°):
two_theta	I/Imax	(hkl)
26.4	31	0 1 2
32.5	100	1 1 1
32.6	39	0 0 4
34.0	29	1 0 3
40.1	56	1 1 3
42.2	26	0 2 0
47.7	18	2 0 0
54.3	19	0 2 4


Entry 7:
# Ti2Ni9Ir
Calculated powder diffraction line list, Cu Kα X-rays. Input: a crystal structure in Alexandria, relaxed with PBE.

Crystal structure
Unit cell a=10.8459 b=3.6193 c=8.0803 alpha=90.00 beta=116.71 gamma=90.00
Space group C2/m (No. 12)
Inequivalent atoms, fractional coordinates:
1 Ti 0.0843 0.0000 0.2465
2 Ni 0.0000 0.5000 0.0000
3 Ni 0.0864 0.5000 0.7561
4 Ni 0.1692 0.0000 0.9991
5 Ni 0.1689 0.5000 0.5033
6 Ni 0.2505 0.0000 0.7521
7 Ir 0.0000 0.0000 0.5000

Main lines, by angle (5° ≤ 2θ ≤ 70°):
two_theta	I/Imax	(hkl)
12.3	9	0 0 1
16.8	8	2 0 -1
27.2	5	1 1 -1
33.3	6	1 1 -2
37.3	5	0 0 3
43.4	100	3 1 1
50.5	31	0 2 0
50.6	16	0 0 4


Entry 8:
# Ti3NiIr2
Calculated powder diffraction line list, Cu Kα X-rays. Input: a crystal structure in Alexandria, relaxed with PBE.

Crystal structure
Unit cell a=4.2310 b=6.4362 c=6.7958 alpha=90.00 beta=108.13 gamma=90.00
Space group P2/m (No. 10)
Inequivalent atoms, fractional coordinates:
1 Ti 0.0000 0.2479 0.0000
2 Ti 0.3281 0.2662 0.6564
3 Ni 0.1459 0.5000 0.2905
4 Ir 0.1683 0.0000 0.3365
5 Ir 0.5000 0.0000 0.0000
6 Ir 0.5000 0.5000 0.0000

Main lines, by angle (5° ≤ 2θ ≤ 70°):
two_theta	I/Imax	(hkl)
13.7	18	0 1 0
27.7	19	0 2 0
29.6	31	1 0 1
32.8	10	1 1 -2
41.0	100	1 2 1
42.0	22	0 0 3
42.7	22	2 0 -1
61.4	14	2 0 2


Entry 9:
# Ti6Ni3Ir
Calculated powder diffraction line list, Cu Kα X-rays. Input: a crystal structure in Alexandria, relaxed with PBE.

Crystal structure
Unit cell a=7.0704 b=4.9246 c=8.9910 alpha=90.00 beta=110.02 gamma=90.00
Space group P2_1/c (No. 14)
Inequivalent atoms, fractional coordinates:
1 Ti 0.0681 0.0241 0.3607
2 Ti 0.3013 0.5400 0.4118
3 Ti 0.3404 0.1925 0.1948
4 Ni 0.0000 0.0000 0.0000
5 Ni 0.2699 0.7033 0.1482
6 Ir 0.5000 0.0000 0.5000

Main lines, by angle (5° ≤ 2θ ≤ 70°):
two_theta	I/Imax	(hkl)
13.3	81	1 0 0
26.8	71	1 1 1
42.1	72	2 0 -4
42.3	100	1 2 -2
42.5	69	0 2 2
42.7	98	3 1 -1
43.1	97	1 1 3
45.9	62	2 2 0


Entry 10:
# TiV2NiIr
Calculated powder diffraction line list, Cu Kα X-rays. Input: a crystal structure in Alexandria, relaxed with PBE.

Crystal structure
Unit cell a=4.2558 b=4.2558 c=4.4147 alpha=90.00 beta=90.00 gamma=90.00
Space group P4/mmm (No. 123)
Inequivalent atoms, fractional coordinates:
1 Ti 0.0000 0.0000 0.0000
2 V 0.0000 0.5000 0.5000
3 Ni 0.0000 0.0000 0.5000
4 Ir 0.5000 0.5000 0.0000

Main lines, by angle (5° ≤ 2θ ≤ 70°):
two_theta	I/Imax	(hkl)
29.1	100	1 0 1
29.7	45	1 1 0
36.1	98	1 1 1
40.9	38	0 0 2
42.5	68	2 0 0
52.3	40	2 1 1
60.4	46	2 0 2
61.6	21	2 2 0


Entry 11:
# Tm4NiIr2
Calculated powder diffraction line list, Cu Kα X-rays. Input: a crystal structure in Alexandria, relaxed with PBE.

Crystal structure
Unit cell a=4.7411 b=4.7411 c=23.1966 alpha=90.00 beta=90.00 gamma=120.00
Space group R-3m (No. 166, hexagonal axes)
Inequivalent atoms, fractional coordinates:
1 Tm 0.0000 0.0000 0.1241
2 Tm 0.0000 0.0000 0.3745
3 Ni 0.0000 0.0000 0.5000
4 Ir 0.0000 0.0000 0.2489

Main lines, by angle (5° ≤ 2θ ≤ 70°):
two_theta	I/Imax	(hkl)
23.0	19	0 0 6
26.6	5	1 0 4
38.0	100	1 1 0
44.9	10	1 1 6
54.8	17	2 0 8
60.2	4	0 1 14
61.9	2	2 1 4
68.6	35	3 0 0


Entry 12:
# TmNiIr
Calculated powder diffraction line list, Cu Kα X-rays. Input: a crystal structure in Alexandria, relaxed with PBE.

Crystal structure
Unit cell a=5.0139 b=5.3758 c=7.2891 alpha=90.00 beta=90.00 gamma=90.00
Space group Imma (No. 74)
Inequivalent atoms, fractional coordinates:
1 Tm 0.0000 0.2500 0.1220
2 Ni 0.2500 0.2500 0.7500
3 Ir 0.0000 0.0000 0.5000

Main lines, by angle (5° ≤ 2θ ≤ 70°):
two_theta	I/Imax	(hkl)
34.7	43	1 1 2
35.8	30	2 0 0
40.0	100	1 2 1
41.3	43	1 0 3
41.6	31	2 1 1
41.8	28	0 2 2
43.8	27	2 0 2
67.2	22	3 2 1


Entry 13:
# Tm6Ni5Ir
Calculated powder diffraction line list, Cu Kα X-rays. Input: a crystal structure in Alexandria, relaxed with PBE.

Crystal structure
Unit cell a=4.7428 b=14.1949 c=6.6346 alpha=90.00 beta=90.00 gamma=90.00
Space group Cmmm (No. 65)
Inequivalent atoms, fractional coordinates:
1 Tm 0.0000 0.0000 0.2495
2 Tm 0.0000 0.3331 0.2499
3 Ni 0.0000 0.1653 0.0000
4 Ni 0.0000 0.1672 0.5000
5 Ni 0.0000 0.5000 0.0000
6 Ir 0.0000 0.5000 0.5000

Main lines, by angle (5° ≤ 2θ ≤ 70°):
two_theta	I/Imax	(hkl)
26.6	13	1 3 0
38.0	51	2 0 0
38.2	100	1 3 2
54.8	17	2 6 0
55.4	8	0 0 4
68.7	18	3 3 2
68.8	17	1 9 2
69.1	17	2 0 4


Entry 14:
# TmNiIr
Calculated powder diffraction line list, Cu Kα X-rays. Input: a crystal structure in Alexandria, relaxed with PBE.

Crystal structure
Unit cell a=4.1147 b=4.1147 c=3.6912 alpha=90.00 beta=90.00 gamma=120.00
Space group P-6m2 (No. 187)
Inequivalent atoms, fractional coordinates:
1 Tm 0.0000 0.0000 0.0000
2 Ni 0.3333 0.6667 0.5000
3 Ir 0.6667 0.3333 0.5000

Main lines, by angle (5° ≤ 2θ ≤ 70°):
two_theta	I/Imax	(hkl)
24.1	3	0 0 1
25.0	15	1 0 0
35.0	100	1 0 1
44.0	48	1 1 0
49.4	11	0 0 2
56.1	4	1 0 2
57.4	24	2 0 1
68.3	26	1 1 2